No. 1
Starting from a cell relaxed with GGA+U, the X-ray powder pattern of LiCo2O4 was simulated for λ = 1.5418 Å (Cu Kα).
Peak positions follow from Bragg's law for the DFT cell and can differ from measured ones.

Peak list (10 most intense, 2θ from 15° to 90°, low angle first)
2theta, I (rel.)
17.59, 100
37.02, 6
37.94, 25
41.10, 6
41.26, 13
45.97, 26
52.31, 11
59.47, 15
67.32, 12
76.86, 5

Structure:
Cell: 5.6433 4.8569 10.0824 Å, 90.00 90.00 90.00°
Space group Pbcn (No. 60)
Symmetry-distinct sites (fractional):
Li: 0.0000 0.1585 0.2500 [4 per cell]
Co: 0.1253 0.2530 0.5037 [8 per cell]
O: 0.1229 0.4093 0.0987 [8 per cell]
O: 0.1255 0.0773 0.9048 [8 per cell]

No. 2
Starting from a cell relaxed with GGA+U, the X-ray powder pattern of Li5Co8O16 was simulated for λ = 1.5418 Å (Cu Kα).
Peak positions follow from Bragg's law for the DFT cell and can differ from measured ones.

Peak list (10 most intense, 2θ from 15° to 90°, low angle first)
2theta, I (rel.)
17.90, 100
37.01, 8
37.16, 7
39.10, 7
39.13, 7
43.60, 7
43.86, 7
45.77, 7
48.83, 7
48.99, 7

Structure:
Cell: 2.8292 9.7362 11.0181 Å, 114.80 97.04 90.15°
Space group P1 (No. 1)
Symmetry-distinct sites (fractional):
Li: 0.0000 0.0000 0.0000 [1 per cell]
Li: 0.0039 0.5028 0.0133 [1 per cell]
Li: 0.2588 0.6806 0.5210 [1 per cell]
Li: 0.7303 0.3390 0.4882 [1 per cell]
Li: 0.7589 0.9914 0.5084 [1 per cell]
Co: 0.1283 0.1276 0.2606 [1 per cell]
Co: 0.1319 0.6338 0.2667 [1 per cell]
Co: 0.3820 0.9739 0.7575 [1 per cell]
Co: 0.3862 0.4799 0.7659 [1 per cell]
Co: 0.6239 0.3814 0.2594 [1 per cell]
Co: 0.6294 0.8784 0.2543 [1 per cell]
Co: 0.8851 0.2274 0.7636 [1 per cell]
Co: 0.8862 0.7280 0.7662 [1 per cell]
O: 0.0796 0.4235 0.1661 [1 per cell]
O: 0.0879 0.9205 0.1579 [1 per cell]
O: 0.1701 0.3402 0.3628 [1 per cell]
O: 0.1819 0.8498 0.3617 [1 per cell]
O: 0.3342 0.0954 0.6589 [1 per cell]
O: 0.3371 0.5959 0.6647 [1 per cell]
O: 0.4336 0.8636 0.8636 [1 per cell]
O: 0.4346 0.3632 0.8657 [1 per cell]
O: 0.5738 0.1599 0.1587 [1 per cell]
O: 0.5823 0.6618 0.1622 [1 per cell]
O: 0.6802 0.5970 0.3687 [1 per cell]
O: 0.6827 0.0973 0.3625 [1 per cell]
O: 0.8328 0.8398 0.6561 [1 per cell]
O: 0.8383 0.3513 0.6666 [1 per cell]
O: 0.9291 0.0990 0.8544 [1 per cell]
O: 0.9341 0.6053 0.8652 [1 per cell]

No. 3
Starting from a cell relaxed with GGA+U, the X-ray powder pattern of Li8Co5O10 was simulated for λ = 1.5418 Å (Cu Kα).
Peak positions follow from Bragg's law for the DFT cell and can differ from measured ones.

Peak list (10 most intense, 2θ from 15° to 90°, low angle first)
2theta, I (rel.)
18.20, 44
26.40, 100
32.57, 12
37.29, 9
42.04, 33
44.48, 23
50.74, 11
55.68, 14
55.76, 14
67.94, 13

Structure:
Cell: 10.1540 3.5987 14.3298 Å, 90.00 106.30 90.00°
Space group C2/m (No. 12)
Symmetry-distinct sites (fractional):
Li: 0.2117 0.0000 0.0471 [4 per cell]
Li: 0.2163 0.0000 0.8303 [4 per cell]
Li: 0.2181 0.0000 0.4406 [4 per cell]
Li: 0.2251 0.0000 0.6556 [4 per cell]
Co: 0.9999 0.5000 0.0989 [4 per cell]
Co: 0.0000 0.5000 0.5000 [2 per cell]
Co: 0.0017 0.5000 0.7002 [4 per cell]
O: 0.1253 0.5000 0.2162 [4 per cell]
O: 0.1342 0.5000 0.0270 [4 per cell]
O: 0.1347 0.5000 0.8378 [4 per cell]
O: 0.1371 0.5000 0.6280 [4 per cell]
O: 0.1425 0.5000 0.4258 [4 per cell]

No. 4
Starting from a cell relaxed with GGA+U, the X-ray powder pattern of Li10Co4O9 was simulated for λ = 1.5418 Å (Cu Kα).
Peak positions follow from Bragg's law for the DFT cell and can differ from measured ones.

Peak list (10 most intense, 2θ from 15° to 90°, low angle first)
2theta, I (rel.)
18.07, 12
26.26, 100
33.37, 30
34.63, 75
41.51, 45
55.76, 44
56.22, 25
63.07, 14
66.92, 20
72.25, 14

Structure:
Cell: 9.8169 9.8169 4.6988 Å, 90.00 90.00 90.00°
Space group P4_2/nmc (No. 137, origin choice 2)
Symmetry-distinct sites (fractional):
Li: 0.0630 0.1056 0.0413 [16 per cell]
Li: 0.2500 0.2500 0.0865 [4 per cell]
Co: 0.0890 0.7500 0.4805 [8 per cell]
O: 0.0766 0.5766 0.2500 [8 per cell]
O: 0.0922 0.2500 0.3247 [8 per cell]
O: 0.2500 0.7500 0.7500 [2 per cell]

No. 5
Starting from a cell relaxed with GGA+U, the X-ray powder pattern of LiCo2O4 was simulated for λ = 1.5418 Å (Cu Kα).
Peak positions follow from Bragg's law for the DFT cell and can differ from measured ones.

Peak list (10 most intense, 2θ from 15° to 90°, low angle first)
2theta, I (rel.)
19.05, 87
19.25, 100
36.76, 25
37.09, 22
37.64, 14
38.66, 14
39.07, 14
44.80, 72
45.93, 34
66.10, 37

Structure:
Cell: 5.6775 5.7666 7.9038 Å, 90.00 90.00 90.00°
Space group Imma (No. 74)
Symmetry-distinct sites (fractional):
Li: 0.2500 0.2500 0.2500 [4 per cell]
Co: 0.0000 0.0000 0.0000 [4 per cell]
Co: 0.2500 0.2500 0.7500 [4 per cell]
O: 0.0000 0.0247 0.7590 [8 per cell]
O: 0.2195 0.2500 0.9854 [8 per cell]

No. 6
Starting from a cell relaxed with GGA+U, the X-ray powder pattern of Li7Co2O6 was simulated for λ = 1.5418 Å (Cu Kα).
Peak positions follow from Bragg's law for the DFT cell and can differ from measured ones.

Peak list (10 most intense, 2θ from 15° to 90°, low angle first)
2theta, I (rel.)
18.39, 57
18.89, 84
25.04, 81
28.11, 65
30.16, 100
31.01, 34
40.21, 39
40.45, 49
41.71, 41
55.58, 30

Structure:
Cell: 12.2810 5.1180 9.9989 Å, 90.00 105.17 90.00°
Space group C2/c (No. 15)
Symmetry-distinct sites (fractional):
Li: 0.0000 0.0444 0.2500 [4 per cell]
Li: 0.0628 0.3869 0.6690 [8 per cell]
Li: 0.1673 0.3887 0.4053 [8 per cell]
Li: 0.2242 0.0477 0.7963 [8 per cell]
Co: 0.1190 0.1067 0.0384 [8 per cell]
O: 0.0987 0.2488 0.8674 [8 per cell]
O: 0.1183 0.2595 0.2040 [8 per cell]
O: 0.1715 0.2230 0.5857 [8 per cell]